Structure and computed XRD peak list of MgCd3 (a DFT-relaxed cell (GGA-PBE, the Materials Project); λ = 1.5418 Å (Cu Kα)).
Peak positions follow from Bragg's law for the DFT cell and can differ from measured ones.

Main lines, by intensity (15 to 90 degrees two-theta):
index	2θ (°)	I_rel
1 1 1	34.91	100
2 0 0	40.53	49
3 1 1	70.11	36
2 2 0	58.66	32
1 0 0	19.95	18
1 1 0	28.35	15
2 2 2	73.73	10
2 1 0	45.57	8
2 1 1	50.20	6
4 0 0	87.69	5

Structure:
```
data_MgCd3
_cell_length_a 4.4516
_cell_length_b 4.4516
_cell_length_c 4.4516
_cell_angle_alpha 90.00
_cell_angle_beta 90.00
_cell_angle_gamma 90.00
_symmetry_space_group_name_H-M 'P m -3 m'
_symmetry_Int_Tables_number 221
_symmetry_space_group_name_Hall '-P 4 2 3'
loop_
_atom_site_label
_atom_site_type_symbol
_atom_site_fract_x
_atom_site_fract_y
_atom_site_fract_z
Mg1 Mg 0.0000 0.0000 0.0000
Cd1 Cd 0.0000 0.5000 0.5000
```

Structure and computed XRD peak list of NaCdN (a DFT-relaxed cell (GGA-PBE, the Materials Project); λ = 1.5418 Å (Cu Kα)).
Peak positions follow from Bragg's law for the DFT cell and can differ from measured ones.

Main lines, by intensity (15 to 90 degrees two-theta):
index	2θ (°)	I_rel
2 1 0	31.69	100
1 1 2	38.52	75
1 0 1	18.20	72
1 0 2	31.09	50
3 1 2	50.79	41
0 1 1	26.51	40
1 1 1	28.83	38
0 1 3	49.87	30
0 2 0	45.23	26
3 0 1	36.90	24

Structure:
```
data_NaCdN
_cell_length_a 7.9550
_cell_length_b 4.0097
_cell_length_c 6.1698
_cell_angle_alpha 90.00
_cell_angle_beta 90.00
_cell_angle_gamma 90.00
_symmetry_space_group_name_H-M 'P n m a'
_symmetry_Int_Tables_number 62
_symmetry_space_group_name_Hall '-P 2ac 2n'
loop_
_atom_site_label
_atom_site_type_symbol
_atom_site_fract_x
_atom_site_fract_y
_atom_site_fract_z
Na1 Na 0.1070 0.2500 0.1405
Cd1 Cd 0.1334 0.2500 0.6068
N1 N 0.1613 0.7500 0.3761
```

Structure and computed XRD peak list of Li5CuP2O8 (a DFT-relaxed cell (GGA-PBE, the Materials Project); λ = 1.5418 Å (Cu Kα)).
Peak positions follow from Bragg's law for the DFT cell and can differ from measured ones.

Main lines, by intensity (15 to 90 degrees two-theta):
index	2θ (°)	I_rel
0 1 -2	22.91	100
2 0 0	33.42	99
1 1 0	21.93	82
0 0 4	36.10	54
1 2 2	38.10	43
3 2 0	59.79	33
0 1 1	16.84	33
1 -1 1	23.70	32
1 -2 6	66.30	27
1 0 -1	18.82	26

Structure:
```
data_Li5CuP2O8
_cell_length_a 5.3537
_cell_length_b 6.2028
_cell_length_c 9.9513
_cell_angle_alpha 89.89
_cell_angle_beta 90.00
_cell_angle_gamma 89.99
_symmetry_space_group_name_H-M 'P 1'
_symmetry_Int_Tables_number 1
_symmetry_space_group_name_Hall 'P 1'
loop_
_atom_site_label
_atom_site_type_symbol
_atom_site_fract_x
_atom_site_fract_y
_atom_site_fract_z
Li1 Li 0.0000 0.0000 0.0000
Li2 Li 0.0002 0.4958 0.5028
Li3 Li 0.1705 0.2475 0.7517
Li4 Li 0.1718 0.2477 0.2516
Li5 Li 0.4821 0.7481 0.5020
Li6 Li 0.4830 0.7469 0.0011
Li7 Li 0.6528 0.9939 0.7520
Li8 Li 0.6538 0.5000 0.7506
Li9 Li 0.6554 0.9951 0.2514
Li10 Li 0.9993 0.4932 0.0004
Cu1 Cu 0.6611 0.5044 0.2545
Cu2 Cu 0.9923 0.0042 0.5050
P1 P 0.1533 0.7458 0.7585
P2 P 0.1533 0.7489 0.2523
P3 P 0.4999 0.2449 0.0025
P4 P 0.5007 0.2498 0.5081
O1 O 0.0101 0.9526 0.2023
O2 O 0.0134 0.9557 0.7123
O3 O 0.0149 0.5420 0.7041
O4 O 0.0298 0.5382 0.1968
O5 O 0.1489 0.7440 0.9147
O6 O 0.1549 0.7388 0.4091
O7 O 0.2236 0.2463 0.9527
O8 O 0.2284 0.2620 0.4531
O9 O 0.4274 0.7606 0.1995
O10 O 0.4280 0.7478 0.7063
O11 O 0.5002 0.2387 0.1595
O12 O 0.5031 0.2440 0.6643
O13 O 0.6241 0.0408 0.4504
O14 O 0.6381 0.4516 0.9517
O15 O 0.6387 0.0396 0.9505
O16 O 0.6455 0.4567 0.4629
```

Structure and computed XRD peak list of K2Na4ZnSn2 (a DFT-relaxed cell (GGA-PBE, the Materials Project); λ = 1.5418 Å (Cu Kα)).
Peak positions follow from Bragg's law for the DFT cell and can differ from measured ones.

Main lines, by intensity (15 to 90 degrees two-theta):
index	2θ (°)	I_rel
2 0 -2	17.72	100
4 1 -2	31.89	85
2 1 0	19.54	52
0 1 2	19.83	51
2 1 -4	32.43	44
2 2 2	35.56	43
1 3 1	30.77	35
1 4 -1	36.90	27
2 0 0	17.41	27
0 3 2	32.19	25

Structure:
```
data_K2Na4ZnSn2
_cell_length_a 11.6912
_cell_length_b 10.0449
_cell_length_c 11.4842
_cell_angle_alpha 90.00
_cell_angle_beta 119.40
_cell_angle_gamma 90.00
_symmetry_space_group_name_H-M 'P 1 21/c 1'
_symmetry_Int_Tables_number 14
_symmetry_space_group_name_Hall '-P 2ybc'
loop_
_atom_site_label
_atom_site_type_symbol
_atom_site_fract_x
_atom_site_fract_y
_atom_site_fract_z
K1 K 0.1449 0.0329 0.1833
K2 K 0.1767 0.1079 0.7967
Na1 Na 0.0072 0.1775 0.4272
Na2 Na 0.3320 0.7222 0.2615
Na3 Na 0.4240 0.5246 0.6220
Na4 Na 0.4898 0.1597 0.4239
Zn1 Zn 0.2435 0.5353 0.0120
Sn1 Sn 0.1615 0.7244 0.4231
Sn2 Sn 0.3521 0.1917 0.6147
```